1.
Simulated powder XRD pattern
Compound: Zn2SnBr8
Radiation: copper Kα
Structure: a cell relaxed with GGA-PBE

Top 6 peaks for 15 to 90 degrees two-theta, by intensity:
- hkl 1 0 1, d = 5.196 Å, 2θ = 17.07°, rel. 100
- hkl 2 0 1, d = 3.125 Å, 2θ = 28.56°, rel. 42
- hkl 2 1 1, d = 2.442 Å, 2θ = 36.81°, rel. 36
- hkl 2 2 0, d = 1.956 Å, 2θ = 46.43°, rel. 32
- hkl 1 2 3, d = 1.857 Å, 2θ = 49.04°, rel. 25
- hkl 2 0 2, d = 2.598 Å, 2θ = 34.53°, rel. 25

Structural model:
Unit cell a=7.8233 b=7.8233 c=8.0949 alpha=90.00 beta=90.00 gamma=120.00
Space group P-3m1 (No. 164)
Symmetry-distinct sites (fractional):
Zn  0.3333  0.6667  0.2349
Sn  0.0000  0.0000  0.5000
Br  0.1527  0.3055  0.2836
Br  0.3333  0.6667  0.9470



2.
Simulated powder XRD pattern
Compound: ZrSnBr
Radiation: copper Kα
Structure: a cell relaxed with GGA-PBE

Top 6 peaks for 15 to 90 degrees two-theta, by intensity:
- hkl 3 1 0, d = 2.409 Å, 2θ = 37.33°, rel. 100
- hkl 0 0 4, d = 2.397 Å, 2θ = 37.52°, rel. 88
- hkl 4 0 -2, d = 2.722 Å, 2θ = 32.90°, rel. 76
- hkl 1 1 -2, d = 2.806 Å, 2θ = 31.89°, rel. 73
- hkl 1 1 2, d = 2.534 Å, 2θ = 35.42°, rel. 72
- hkl 3 1 -4, d = 1.961 Å, 2θ = 46.29°, rel. 59

Structural model:
Unit cell a=11.0965 b=3.3603 c=10.2688 alpha=90.00 beta=110.94 gamma=90.00
Space group C2/m (No. 12)
Symmetry-distinct sites (fractional):
Zr  0.2010  0.0000  0.1379
Sn  0.0355  0.5000  0.8740
Br  0.1804  0.0000  0.6476



3.
Simulated powder XRD pattern
Compound: SrBr2
Radiation: copper Kα
Structure: a cell relaxed with GGA-PBE

Top 6 peaks for 15 to 90 degrees two-theta, by intensity:
- hkl 1 3 1, d = 3.312 Å, 2θ = 26.92°, rel. 100
- hkl 3 1 2, d = 2.602 Å, 2θ = 34.47°, rel. 95
- hkl 2 4 0, d = 2.630 Å, 2θ = 34.10°, rel. 88
- hkl 4 1 1, d = 2.656 Å, 2θ = 33.75°, rel. 80
- hkl 3 2 1, d = 2.977 Å, 2θ = 30.02°, rel. 56
- hkl 1 2 3, d = 2.204 Å, 2θ = 40.94°, rel. 56

Structural model:
Unit cell a=11.7597 b=11.7597 c=7.2837 alpha=90.00 beta=90.00 gamma=90.00
Space group P4/n (No. 85, origin choice 2)
Symmetry-distinct sites (fractional):
Sr  0.0822  0.8929  0.2465
Sr  0.2500  0.2500  0.1581
Br  0.0424  0.1473  0.3799
Br  0.0431  0.3391  0.9100
Br  0.2500  0.7500  0.0000
Br  0.2500  0.7500  0.5000



4.
Simulated powder XRD pattern
Compound: Sr2Br
Radiation: copper Kα
Structure: a cell relaxed with GGA-PBE

Top 6 peaks for 15 to 90 degrees two-theta, by intensity:
- hkl 1 3 1, d = 3.043 Å, 2θ = 29.35°, rel. 100
- hkl 1 3 0, d = 3.408 Å, 2θ = 26.15°, rel. 85
- hkl 0 0 2, d = 3.377 Å, 2θ = 26.39°, rel. 82
- hkl 0 6 1, d = 2.700 Å, 2θ = 33.18°, rel. 72
- hkl 1 3 2, d = 2.399 Å, 2θ = 37.49°, rel. 65
- hkl 2 0 2, d = 1.777 Å, 2θ = 51.43°, rel. 29

Structural model:
Unit cell a=4.1778 b=17.6773 c=6.7540 alpha=90.00 beta=90.00 gamma=90.00
Space group Cmcm (No. 63)
Symmetry-distinct sites (fractional):
Sr  0.0000  0.0571  0.2500
Sr  0.0000  0.3514  0.2500
Br  0.0000  0.2927  0.7500



5.
Simulated powder XRD pattern
Compound: Sr2Br
Radiation: copper Kα
Structure: a cell relaxed with GGA-PBE

Top 6 peaks for 15 to 90 degrees two-theta, by intensity:
- hkl 1 1 3, d = 3.082 Å, 2θ = 28.97°, rel. 100
- hkl 0 2 0, d = 3.591 Å, 2θ = 24.79°, rel. 41
- hkl 1 3 3, d = 1.960 Å, 2θ = 46.33°, rel. 27
- hkl 0 2 6, d = 2.193 Å, 2θ = 41.16°, rel. 14
- hkl 0 0 6, d = 2.770 Å, 2θ = 32.32°, rel. 14
- hkl 2 2 0, d = 1.854 Å, 2θ = 49.13°, rel. 12

Structural model:
Unit cell a=4.3309 b=7.1820 c=16.6173 alpha=90.00 beta=90.00 gamma=90.00
Space group Fmmm (No. 69)
Symmetry-distinct sites (fractional):
Sr  0.0000  0.0000  0.1479
Br  0.0000  0.0000  0.5000



6.
Simulated powder XRD pattern
Compound: Sr2Br
Radiation: copper Kα
Structure: a cell relaxed with GGA-PBE

Top 6 peaks for 15 to 90 degrees two-theta, by intensity:
- hkl 1 0 3, d = 3.249 Å, 2θ = 27.46°, rel. 100
- hkl 0 1 1, d = 4.150 Å, 2θ = 21.41°, rel. 95
- hkl 1 1 4, d = 2.382 Å, 2θ = 37.77°, rel. 59
- hkl 1 1 2, d = 2.781 Å, 2θ = 32.19°, rel. 44
- hkl 1 2 3, d = 1.792 Å, 2θ = 50.95°, rel. 35
- hkl 0 0 6, d = 2.664 Å, 2θ = 33.64°, rel. 26

Structural model:
Unit cell a=4.0987 b=4.2975 c=15.9833 alpha=90.00 beta=90.00 gamma=90.00
Space group Immm (No. 71)
Symmetry-distinct sites (fractional):
Sr  0.0000  0.0000  0.1546
Br  0.0000  0.5000  0.5000



7.
Simulated powder XRD pattern
Compound: SrBr
Radiation: copper Kα
Structure: a cell relaxed with GGA-PBE

Top 6 peaks for 15 to 90 degrees two-theta, by intensity:
- hkl 1 1 2, d = 2.754 Å, 2θ = 32.51°, rel. 100
- hkl 0 0 4, d = 5.295 Å, 2θ = 16.74°, rel. 65
- hkl 1 0 5, d = 2.920 Å, 2θ = 30.61°, rel. 56
- hkl 0 1 3, d = 3.502 Å, 2θ = 25.43°, rel. 43
- hkl 0 1 7, d = 2.421 Å, 2θ = 37.14°, rel. 42
- hkl 1 0 9, d = 2.032 Å, 2θ = 44.59°, rel. 21

Structural model:
Unit cell a=4.0278 b=4.0388 c=21.1789 alpha=90.00 beta=90.00 gamma=90.00
Space group Imma (No. 74)
Symmetry-distinct sites (fractional):
Sr  0.0000  0.2500  0.1639
Br  0.0000  0.2500  0.5947



8.
Simulated powder XRD pattern
Compound: SrBr
Radiation: copper Kα
Structure: a cell relaxed with GGA-PBE

Top 6 peaks for 15 to 90 degrees two-theta, by intensity:
- hkl 0 1 -2, d = 3.124 Å, 2θ = 28.58°, rel. 100
- hkl 1 0 1, d = 3.649 Å, 2θ = 24.39°, rel. 81
- hkl 2 1 0, d = 2.249 Å, 2θ = 40.10°, rel. 57
- hkl 0 0 2, d = 5.222 Å, 2θ = 16.98°, rel. 52
- hkl 0 1 4, d = 2.171 Å, 2θ = 41.60°, rel. 33
- hkl 1 1 3, d = 2.598 Å, 2θ = 34.52°, rel. 22

Structural model:
Unit cell a=4.4963 b=4.4968 c=10.4446 alpha=89.74 beta=89.83 gamma=60.04
Space group P1 (No. 1)
Symmetry-distinct sites (fractional):
Sr  0.0000  0.0000  0.0000
Sr  0.3339  0.3390  0.6613
Br  0.0008  0.0071  0.5044
Br  0.6662  0.6651  0.1579



9.
Simulated powder XRD pattern
Compound: Sr4Br
Radiation: copper Kα
Structure: a cell relaxed with GGA-PBE

Top 6 peaks for 15 to 90 degrees two-theta, by intensity:
- hkl 2 1 1, d = 3.112 Å, 2θ = 28.69°, rel. 100
- hkl 1 3 0, d = 3.370 Å, 2θ = 26.45°, rel. 55
- hkl 3 4 1, d = 1.892 Å, 2θ = 48.09°, rel. 28
- hkl 1 3 2, d = 1.754 Å, 2θ = 52.15°, rel. 16
- hkl 4 2 0, d = 2.383 Å, 2θ = 37.75°, rel. 16
- hkl 1 4 1, d = 2.188 Å, 2θ = 41.27°, rel. 10

Structural model:
Unit cell a=10.6568 b=10.6568 c=4.1082 alpha=90.00 beta=90.00 gamma=90.00
Space group I4/m (No. 87)
Symmetry-distinct sites (fractional):
Sr  0.0726  0.2686  0.0000
Br  0.0000  0.0000  0.5000



10.
Simulated powder XRD pattern
Compound: SrTeBr3
Radiation: copper Kα
Structure: a cell relaxed with GGA-PBE

Top 6 peaks for 15 to 90 degrees two-theta, by intensity:
- hkl 2 0 0, d = 2.987 Å, 2θ = 29.91°, rel. 100
- hkl 1 1 1, d = 3.449 Å, 2θ = 25.83°, rel. 74
- hkl 2 2 0, d = 2.112 Å, 2θ = 42.82°, rel. 74
- hkl 1 1 0, d = 4.224 Å, 2θ = 21.03°, rel. 38
- hkl 3 1 1, d = 1.801 Å, 2θ = 50.68°, rel. 34
- hkl 4 2 0, d = 1.336 Å, 2θ = 70.50°, rel. 33

Structural model:
Unit cell a=5.9739 b=5.9739 c=5.9739 alpha=90.00 beta=90.00 gamma=90.00
Space group Pm-3m (No. 221)
Symmetry-distinct sites (fractional):
Sr  0.0000  0.0000  0.0000
Te  0.5000  0.5000  0.5000
Br  0.0000  0.0000  0.5000



11.
Simulated powder XRD pattern
Compound: SrThBr6
Radiation: copper Kα
Structure: a cell relaxed with GGA-PBE

Top 6 peaks for 15 to 90 degrees two-theta, by intensity:
- hkl 1 1 3, d = 2.957 Å, 2θ = 30.23°, rel. 100
- hkl 3 1 1, d = 2.485 Å, 2θ = 36.14°, rel. 56
- hkl 2 1 1, d = 3.087 Å, 2θ = 28.92°, rel. 36
- hkl 3 0 2, d = 2.836 Å, 2θ = 31.54°, rel. 32
- hkl 0 2 0, d = 2.153 Å, 2θ = 41.96°, rel. 29
- hkl 3 1 3, d = 2.206 Å, 2θ = 40.91°, rel. 25

Structural model:
Unit cell a=9.3696 b=4.3060 c=13.5462 alpha=90.00 beta=90.00 gamma=90.00
Space group Pmma (No. 51)
Symmetry-distinct sites (fractional):
Sr  0.2500  0.0000  0.2223
Th  0.2500  0.5000  0.7621
Br  0.0457  0.5000  0.3316
Br  0.0754  0.0000  0.8627
Br  0.2500  0.0000  0.6129
Br  0.2500  0.5000  0.0666



12.
Simulated powder XRD pattern
Compound: SrTl2Br4
Radiation: copper Kα
Structure: a cell relaxed with GGA-PBE

Top 6 peaks for 15 to 90 degrees two-theta, by intensity:
- hkl 1 1 1, d = 3.586 Å, 2θ = 24.83°, rel. 100
- hkl 3 1 -3, d = 2.447 Å, 2θ = 36.73°, rel. 81
- hkl 1 1 -1, d = 4.056 Å, 2θ = 21.92°, rel. 60
- hkl 2 0 -2, d = 4.340 Å, 2θ = 20.46°, rel. 59
- hkl 4 0 -2, d = 3.615 Å, 2θ = 24.63°, rel. 57
- hkl 3 1 0, d = 3.324 Å, 2θ = 26.82°, rel. 56

Structural model:
Unit cell a=16.3983 b=4.5874 c=8.6975 alpha=90.00 beta=118.09 gamma=90.00
Space group C2/m (No. 12)
Symmetry-distinct sites (fractional):
Sr  0.0000  0.0000  0.0000
Tl  0.2051  0.5000  0.6870
Br  0.1168  0.0000  0.3959
Br  0.1274  0.5000  0.0014